[1]
The following is a computed powder diffraction line list of In8Hg5. It was derived from the PBE geometry in Alexandria, using Cu Kα (λ = 1.5418 Å).

```
data_In8Hg5
_chemical_formula_sum 'In48 Hg30'
_cell_length_a 15.7653
_cell_length_b 15.7653
_cell_length_c 9.8526
_cell_angle_alpha 90.00
_cell_angle_beta 90.00
_cell_angle_gamma 120.00
_symmetry_space_group_name_H-M 'R 3 m'
_symmetry_Int_Tables_number 160
_symmetry_space_group_name_Hall 'R 3 -2"'
loop_
_atom_site_label
_atom_site_type_symbol
_atom_site_fract_x
_atom_site_fract_y
_atom_site_fract_z
In1 In 0.0000 0.0000 0.0000
In2 In 0.0334 0.3412 0.3694
In3 In 0.0867 0.5433 0.5638
In4 In 0.1409 0.0704 0.7246
In5 In 0.2161 0.4322 0.6970
Hg1 Hg 0.0000 0.0000 0.4339
Hg2 Hg 0.0858 0.1716 0.2183
Hg3 Hg 0.1075 0.5537 0.1998
Hg4 Hg 0.2001 0.4002 0.1234
```

Most intense lines, 5° ≤ 2θ ≤ 70°, low angle first:
| 2θ/deg | I (rel.) | index |
| --- | --- | --- |
| 11.07 | 14.7 | 1 0 1 |
| 27.66 | 16.6 | 4 0 1 |
| 29.96 | 12.5 | 3 2 1 |
| 33.65 | 100.0 | 3 0 3 |
| 33.91 | 71.0 | 2 3 2 |
| 34.11 | 97.1 | 3 3 0 |
| 48.68 | 12.6 | 0 6 3 |
| 57.12 | 15.0 | 8 0 2 |
| 60.79 | 12.4 | 3 6 3 |
| 68.27 | 12.8 | 5 6 2 |

[2]
The following is a computed powder diffraction line list of La3CdHg5. It was derived from the PBE geometry in Alexandria, using Cu Kα (λ = 1.5418 Å).

```
data_La3CdHg5
_chemical_formula_sum 'La6 Cd2 Hg10'
_cell_length_a 9.3315
_cell_length_b 9.3315
_cell_length_c 6.6255
_cell_angle_alpha 90.00
_cell_angle_beta 90.00
_cell_angle_gamma 120.00
_symmetry_space_group_name_H-M 'P 63/m c m'
_symmetry_Int_Tables_number 193
_symmetry_space_group_name_Hall '-P 6c 2'
loop_
_atom_site_label
_atom_site_type_symbol
_atom_site_fract_x
_atom_site_fract_y
_atom_site_fract_z
La1 La 0.0000 0.3524 0.2500
Cd1 Cd 0.0000 0.0000 0.0000
Hg1 Hg 0.0000 0.3098 0.7500
Hg2 Hg 0.3333 0.6667 0.0000
```

Most intense lines, 5° ≤ 2θ ≤ 70°, low angle first:
| 2θ/deg | I (rel.) | index |
| --- | --- | --- |
| 23.32 | 2.7 | 1 1 1 |
| 26.91 | 3.3 | 0 0 2 |
| 32.27 | 4.3 | 2 1 1 |
| 33.21 | 100.0 | 3 0 0 |
| 43.29 | 4.4 | 3 0 2 |
| 47.68 | 17.0 | 2 2 2 |
| 55.48 | 4.3 | 0 0 4 |
| 59.39 | 24.9 | 3 3 0 |
| 66.24 | 14.2 | 3 0 4 |
| 69.83 | 4.8 | 6 0 0 |

[3]
The following is a computed powder diffraction line list of Ba2Sr3In2. It was derived from the PBE geometry in Alexandria, using Cu Kα (λ = 1.5418 Å).

```
data_Ba2Sr3In2
_chemical_formula_sum 'Ba4 Sr6 In4'
_cell_length_a 12.2944
_cell_length_b 5.6067
_cell_length_c 9.7153
_cell_angle_alpha 90.00
_cell_angle_beta 108.95
_cell_angle_gamma 90.00
_symmetry_space_group_name_H-M 'C 1 2/m 1'
_symmetry_Int_Tables_number 12
loop_
_symmetry_equiv_pos_as_xyz
'x,y,z'
'-x,-y,-z'
'-x,y,-z'
'x,-y,z'
'x+1/2,y+1/2,z'
'-x+1/2,-y+1/2,-z'
'-x+1/2,y+1/2,-z'
'x+1/2,-y+1/2,z'
loop_
_atom_site_label
_atom_site_type_symbol
_atom_site_fract_x
_atom_site_fract_y
_atom_site_fract_z
Ba1 Ba 0.1370 0.0000 0.3017
Sr1 Sr 0.0000 0.5000 0.5000
Sr2 Sr 0.1360 0.5000 0.9292
In1 In 0.1684 0.0000 0.7117
```

Most intense lines, 5° ≤ 2θ ≤ 70°, low angle first:
| 2θ/deg | I (rel.) | index |
| --- | --- | --- |
| 24.28 | 38.6 | 1 1 -2 |
| 27.04 | 79.8 | 3 1 -1 |
| 28.02 | 100.0 | 1 1 2 |
| 28.18 | 17.8 | 2 0 -3 |
| 28.40 | 21.3 | 2 0 2 |
| 29.53 | 32.2 | 3 1 -2 |
| 30.76 | 19.8 | 4 0 0 |
| 31.94 | 90.8 | 0 2 0 |
| 34.98 | 16.1 | 4 0 -3 |
| 38.43 | 17.9 | 3 1 2 |

[4]
The following is a computed powder diffraction line list of Sc3Ag2C. It was derived from the PBE geometry in Alexandria, using Cu Kα (λ = 1.5418 Å).

```
data_Sc3Ag2C
_chemical_formula_sum 'Sc3 Ag2 C1'
_cell_length_a 4.7197
_cell_length_b 3.3055
_cell_length_c 7.4021
_cell_angle_alpha 90.00
_cell_angle_beta 108.52
_cell_angle_gamma 90.00
_symmetry_space_group_name_H-M 'P 1 2/m 1'
_symmetry_Int_Tables_number 10
loop_
_symmetry_equiv_pos_as_xyz
'x,y,z'
'-x,-y,-z'
'-x,y,-z'
'x,-y,z'
loop_
_atom_site_label
_atom_site_type_symbol
_atom_site_fract_x
_atom_site_fract_y
_atom_site_fract_z
Sc1 Sc 0.0000 0.0000 0.0000
Sc2 Sc 0.3873 0.5000 0.7744
Ag1 Ag 0.2002 0.0000 0.4003
C1 C 0.5000 0.0000 0.0000
```

Most intense lines, 5° ≤ 2θ ≤ 70°, low angle first:
| 2θ/deg | I (rel.) | index |
| --- | --- | --- |
| 12.61 | 66.9 | 0 0 1 |
| 26.97 | 37.5 | 0 1 0 |
| 29.88 | 30.7 | 0 1 1 |
| 33.71 | 66.8 | 1 1 0 |
| 37.27 | 100.0 | 1 0 2 |
| 37.37 | 37.6 | 0 1 2 |
| 38.13 | 54.6 | 2 0 -1 |
| 38.42 | 62.2 | 1 1 1 |
| 46.60 | 28.4 | 1 1 2 |
| 68.86 | 29.6 | 1 2 2 |

What did the second record say?
The following is a computed powder diffraction line list of La3CdHg5. It was derived from the PBE geometry in Alexandria, using Cu Kα (λ = 1.5418 Å).

```
data_La3CdHg5
_chemical_formula_sum 'La6 Cd2 Hg10'
_cell_length_a 9.3315
_cell_length_b 9.3315
_cell_length_c 6.6255
_cell_angle_alpha 90.00
_cell_angle_beta 90.00
_cell_angle_gamma 120.00
_symmetry_space_group_name_H-M 'P 63/m c m'
_symmetry_Int_Tables_number 193
_symmetry_space_group_name_Hall '-P 6c 2'
loop_
_atom_site_label
_atom_site_type_symbol
_atom_site_fract_x
_atom_site_fract_y
_atom_site_fract_z
La1 La 0.0000 0.3524 0.2500
Cd1 Cd 0.0000 0.0000 0.0000
Hg1 Hg 0.0000 0.3098 0.7500
Hg2 Hg 0.3333 0.6667 0.0000
```

Most intense lines, 5° ≤ 2θ ≤ 70°, low angle first:
| 2θ/deg | I (rel.) | index |
| --- | --- | --- |
| 23.32 | 2.7 | 1 1 1 |
| 26.91 | 3.3 | 0 0 2 |
| 32.27 | 4.3 | 2 1 1 |
| 33.21 | 100.0 | 3 0 0 |
| 43.29 | 4.4 | 3 0 2 |
| 47.68 | 17.0 | 2 2 2 |
| 55.48 | 4.3 | 0 0 4 |
| 59.39 | 24.9 | 3 3 0 |
| 66.24 | 14.2 | 3 0 4 |
| 69.83 | 4.8 | 6 0 0 |